Calculated X-ray powder pattern
Compound: LaNdB2Pd8
Radiation: λ = 1.5418 Å (Cu Kα)
Structure: a structure optimized by DFT (PBE)
Neutral-atom scattering factors, no anomalous dispersion.

Crystal structure
```
data_LaNdB2Pd8
_cell_length_a 5.4978
_cell_length_b 5.4978
_cell_length_c 7.6753
_cell_angle_alpha 90.00
_cell_angle_beta 90.00
_cell_angle_gamma 120.00
_symmetry_space_group_name_H-M 'P 6/m m m'
_symmetry_Int_Tables_number 191
_symmetry_space_group_name_Hall '-P 6 2'
loop_
_atom_site_label
_atom_site_type_symbol
_atom_site_fract_x
_atom_site_fract_y
_atom_site_fract_z
_atom_site_occupancy
La1 La 0.0000 0.0000 0.0000 1
Nd1 Nd 0.0000 0.0000 0.5000 1
B1 B 0.3333 0.6667 0.5000 1
Pd1 Pd 0.0000 0.5000 0.3040 1
Pd2 Pd 0.3333 0.6667 0.0000 1
```

Main lines, in order of rising 2θ (2θ from 10° to 90°):
two_theta	I/Imax
29.9	54
34.7	23
35.1	30
37.8	86
39.6	24
40.4	100
52.5	19
63.4	26
68.2	30
73.4	20